The following is a theoretical powder XRD pattern of CaLaFeAgO6. It was derived from DFT lattice parameters and positions (PBE+U), using CuKα.
Neutral-atom scattering factors, no anomalous dispersion.

Most intense lines, 2θ from 5° to 70°, sorted by position:
- 19.0 deg, I = 30, (0 1 -1)
- 19.5 deg, I = 63, (1 0 -1)
- 30.3 deg, I = 81, (0 2 0)
- 31.0 deg, I = 100, (1 1 2)
- 31.3 deg, I = 84, (1 1 -2)
- 31.7 deg, I = 88, (2 0 0)
- 32.6 deg, I = 86, (-1 1 2)
- 32.7 deg, I = 73, (1 -1 2)
- 42.1 deg, I = 50, (2 2 0)
- 46.6 deg, I = 37, (2 -2 0)
- 47.1 deg, I = 52, (0 0 4)
- 58.0 deg, I = 35, (-3 1 2)

```
data_CaLaFeAgO6
_space_group_name_H-M_alt 'P 1'
_space_group_IT_number 1
_cell_length_a 5.681
_cell_length_b 5.929
_cell_length_c 7.716
_cell_angle_alpha 89.43
_cell_angle_beta 89.65
_cell_angle_gamma 84.41
loop_
_space_group_symop_operation_xyz
'x,y,z'
loop_
_atom_site_label
_atom_site_type_symbol
_atom_site_fract_x
_atom_site_fract_y
_atom_site_fract_z
Ca1 Ca 0.000 0.000 0.000
Ca2 Ca 0.477 0.625 0.500
La1 La 0.513 0.497 0.004
La2 La 0.993 0.117 0.499
Fe1 Fe 0.495 0.053 0.250
Fe2 Fe 0.996 0.561 0.752
Ag1 Ag 0.494 0.059 0.753
Ag2 Ag 0.996 0.563 0.254
O1 O 0.096 0.609 0.000
O2 O 0.152 0.818 0.696
O3 O 0.228 0.899 0.292
O4 O 0.309 0.363 0.304
O5 O 0.310 0.374 0.704
O6 O 0.387 0.103 0.005
O7 O 0.594 0.012 0.499
O8 O 0.673 0.746 0.210
O9 O 0.689 0.751 0.804
O10 O 0.762 0.207 0.206
O11 O 0.848 0.299 0.808
O12 O 0.887 0.516 0.506
```